# 1
The following is a computed powder diffraction line list of MgZn2Co4S8. It was derived from a crystal structure in the Materials Project, relaxed with PBE, using λ = 1.5418 Å (Cu Kα).
No peak broadening, texture or thermal motion is included.

Main lines, low angle first (2θ from 15° to 90°):
Position (°2θ)	Rel. int.	(hkl)
28.56	59	2 0 1
30.17	92	2 2 -1
30.70	65	3 1 -2
33.88	42	4 0 0
37.21	53	2 2 -2
38.79	41	3 1 1
48.51	44	3 3 -2
49.10	43	2 2 -3
51.19	100	2 2 2
52.75	46	0 4 0

Structural model:
Cell lengths 12.5356, 6.9423, 6.7328 Å; angles 90.00, 122.40, 90.00 degrees
Space group Cm (No. 8)
One atom of each set of equivalent atoms:
Mg1 0.0000 0.0000 0.0000 [2 per cell]
Zn1 0.0513 0.5000 0.0531 [2 per cell]
Zn2 0.2215 0.5000 0.7250 [2 per cell]
Co1 0.1745 0.0000 0.4382 [2 per cell]
Co2 0.1764 0.0000 0.9179 [2 per cell]
Co3 0.4010 0.2492 0.4037 [4 per cell]
S1 0.1201 0.2062 0.6234 [4 per cell]
S2 0.1851 0.2173 0.1876 [4 per cell]
S3 0.3695 0.5000 0.5905 [2 per cell]
S4 0.3713 0.5000 0.1540 [2 per cell]
S5 0.4012 0.0000 0.6273 [2 per cell]
S6 0.4026 0.0000 0.1828 [2 per cell]

***

# 2
The following is a computed powder diffraction line list of Mg2Si. It was derived from a crystal structure in the Materials Project, relaxed with PBE, using λ = 1.5418 Å (Cu Kα).
No peak broadening, texture or thermal motion is included.

Main lines, low angle first (2θ from 15° to 90°):
Position (°2θ)	Rel. int.	(hkl)
34.11	20	0 1 3
35.79	66	1 -2 0
36.18	100	1 1 3
36.69	67	1 3 1
37.16	32	0 0 3
37.51	30	1 -1 2
38.20	26	1 2 -1
41.01	32	0 3 3
41.57	40	0 2 -2
43.54	64	2 1 1

Structural model:
Cell lengths 4.1589, 8.1169, 8.1722 Å; angles 64.49, 75.51, 76.60 degrees
Space group P-1 (No. 2)
One atom of each set of equivalent atoms:
Mg1 0.0000 0.0000 0.0000 [1 per cell]
Mg2 0.1434 0.1515 0.5627 [2 per cell]
Mg3 0.1470 0.5677 0.1404 [2 per cell]
Mg4 0.3446 0.1589 0.1604 [2 per cell]
Mg5 0.5000 0.5000 0.5000 [1 per cell]
Si1 0.2726 0.7145 0.7204 [2 per cell]
Si2 0.4860 0.7980 0.2040 [2 per cell]